[1]
For MgH12Br2O6, the GGA-PBE geometry in Alexandria gives the calculated powder diffraction line list in this record (Cu Kα, 1.54184 Å).

The 10 most intense peaks (2θ = 10–80°), in order of rising 2θ:
| Position (°2θ) | I (rel.) | index |
| --- | --- | --- |
| 20.94 | 100 | 1 1 1 |
| 21.50 | 38 | 2 0 -1 |
| 24.04 | 33 | 0 2 0 |
| 28.88 | 41 | 3 1 0 |
| 29.82 | 46 | 2 2 0 |
| 31.44 | 41 | 1 1 -2 |
| 32.47 | 45 | 2 2 -1 |
| 32.74 | 36 | 1 1 2 |
| 39.15 | 17 | 4 0 1 |
| 47.18 | 22 | 1 3 -2 |

Cell and atoms:
```
data_MgH12Br2O6
_cell_length_a 10.2404
_cell_length_b 7.4026
_cell_length_c 6.3226
_cell_angle_alpha 90.00
_cell_angle_beta 94.65
_cell_angle_gamma 90.00
_space_group_name_H-M_alt 'C 1 2/m 1'
_space_group_IT_number 12
loop_
_space_group_symop_operation_xyz
'x,y,z'
'-x,-y,-z'
'-x,y,-z'
'x,-y,z'
'x+1/2,y+1/2,z'
'-x+1/2,-y+1/2,-z'
'-x+1/2,y+1/2,-z'
'x+1/2,-y+1/2,z'
loop_
_atom_site_label
_atom_site_type_symbol
_atom_site_fract_x
_atom_site_fract_y
_atom_site_fract_z
_atom_site_occupancy
Mg1 Mg 0.0000 0.0000 0.0000 1
H1 H 0.0237 0.2928 0.2757 1
H2 H 0.1115 0.1933 0.6902 1
H3 H 0.2334 0.5000 0.9929 1
H4 H 0.2385 0.0000 0.2520 1
Br1 Br 0.1863 0.5000 0.3872 1
O1 O 0.0401 0.2025 0.7838 1
O2 O 0.1975 0.0000 0.1054 1
```

[2]
For Hg5H2Br3, the GGA-PBE geometry in Alexandria gives the calculated powder diffraction line list in this record (Cu Kα, 1.54184 Å).

The 10 most intense peaks (2θ = 10–80°), in order of rising 2θ:
| Position (°2θ) | I (rel.) | index |
| --- | --- | --- |
| 20.25 | 53 | 0 2 0 |
| 23.53 | 100 | 1 -2 1 |
| 24.24 | 50 | 1 2 -1 |
| 27.49 | 91 | -2 1 1 |
| 28.59 | 83 | 1 1 -3 |
| 28.96 | 63 | 1 0 -3 |
| 30.42 | 51 | 1 2 1 |
| 31.27 | 77 | -2 1 2 |
| 40.05 | 54 | 3 0 0 |
| 43.04 | 78 | 1 4 -1 |

Cell and atoms:
```
data_Hg5H2Br3
_cell_length_a 6.9664
_cell_length_b 9.1489
_cell_length_c 9.8170
_cell_angle_alpha 104.56
_cell_angle_beta 101.48
_cell_angle_gamma 94.71
_space_group_name_H-M_alt 'P -1'
_space_group_IT_number 2
loop_
_space_group_symop_operation_xyz
'x,y,z'
'-x,-y,-z'
loop_
_atom_site_label
_atom_site_type_symbol
_atom_site_fract_x
_atom_site_fract_y
_atom_site_fract_z
_atom_site_occupancy
Hg1 Hg 0.0207 0.3120 0.1573 1
Hg2 Hg 0.0854 0.1460 0.7419 1
Hg3 Hg 0.3409 0.7420 0.2985 1
Hg4 Hg 0.3662 0.3846 0.9055 1
Hg5 Hg 0.3921 0.8227 0.6511 1
H1 H 0.1998 0.4558 0.2269 1
H2 H 0.4581 0.0036 0.6649 1
Br1 Br 0.1112 0.1360 0.4013 1
Br2 Br 0.2609 0.8951 0.9843 1
Br3 Br 0.2950 0.5457 0.6310 1
```

[3]
For Ac8CdSi3I4, the GGA-PBE geometry in Alexandria gives the calculated powder diffraction line list in this record (Cu Kα, 1.54184 Å).

The 10 most intense peaks (2θ = 10–80°), in order of rising 2θ:
| Position (°2θ) | I (rel.) | index |
| --- | --- | --- |
| 23.24 | 25 | 2 0 2 |
| 26.59 | 100 | 0 2 4 |
| 28.86 | 17 | 2 0 5 |
| 37.27 | 30 | 2 0 8 |
| 38.63 | 41 | 2 2 0 |
| 47.52 | 21 | 4 0 4 |
| 52.05 | 15 | 2 2 9 |
| 54.77 | 10 | 0 4 8 |
| 62.84 | 18 | 2 4 4 |
| 69.02 | 10 | 4 2 8 |

Cell and atoms:
```
data_Ac8CdSi3I4
_cell_length_a 9.3219
_cell_length_b 9.3219
_cell_length_c 24.0725
_cell_angle_alpha 90.00
_cell_angle_beta 90.00
_cell_angle_gamma 120.00
_space_group_name_H-M_alt 'R -3 m'
_space_group_IT_number 166
_space_group_name_Hall '-R 3 2"'
loop_
_atom_site_label
_atom_site_type_symbol
_atom_site_fract_x
_atom_site_fract_y
_atom_site_fract_z
_atom_site_occupancy
Ac1 Ac 0.0000 0.0000 0.2333 1
Ac2 Ac 0.0112 0.5056 0.7638 1
Cd1 Cd 0.0000 0.0000 0.5000 1
Si1 Si 0.0000 0.5000 0.5000 1
I1 I 0.0000 0.0000 0.0000 1
I2 I 0.0000 0.5000 0.0000 1
```

[4]
For GaNi12Sn3, the GGA-PBE geometry in Alexandria gives the calculated powder diffraction line list in this record (Cu Kα, 1.54184 Å).

The 10 most intense peaks (2θ = 10–80°), in order of rising 2θ:
| Position (°2θ) | I (rel.) | index |
| --- | --- | --- |
| 23.98 | 5 | 1 0 0 |
| 24.26 | 2 | 0 0 4 |
| 34.17 | 2 | 1 1 0 |
| 34.37 | 4 | 1 0 4 |
| 42.34 | 100 | 1 1 4 |
| 49.10 | 33 | 2 0 0 |
| 49.69 | 15 | 0 0 8 |
| 61.30 | 2 | 2 1 4 |
| 71.97 | 10 | 2 2 0 |
| 72.44 | 18 | 2 0 8 |

Cell and atoms:
```
data_GaNi12Sn3
_cell_length_a 3.7111
_cell_length_b 3.7111
_cell_length_c 14.6776
_cell_angle_alpha 90.00
_cell_angle_beta 90.00
_cell_angle_gamma 90.00
_space_group_name_H-M_alt 'P 4/m m m'
_space_group_IT_number 123
_space_group_name_Hall '-P 4 2'
loop_
_atom_site_label
_atom_site_type_symbol
_atom_site_fract_x
_atom_site_fract_y
_atom_site_fract_z
_atom_site_occupancy
Ga1 Ga 0.0000 0.0000 0.0000 1
Ni1 Ni 0.0000 0.5000 0.1157 1
Ni2 Ni 0.0000 0.5000 0.3721 1
Ni3 Ni 0.5000 0.5000 0.0000 1
Ni4 Ni 0.5000 0.5000 0.2449 1
Ni5 Ni 0.5000 0.5000 0.5000 1
Sn1 Sn 0.0000 0.0000 0.2435 1
Sn2 Sn 0.0000 0.0000 0.5000 1
```

[5]
For Pa4MnSi, the GGA-PBE geometry in Alexandria gives the calculated powder diffraction line list in this record (Cu Kα, 1.54184 Å).

The 10 most intense peaks (2θ = 10–80°), in order of rising 2θ:
| Position (°2θ) | I (rel.) | index |
| --- | --- | --- |
| 13.81 | 12 | 1 0 0 |
| 27.83 | 66 | 2 0 0 |
| 34.03 | 100 | 1 1 2 |
| 34.20 | 16 | 2 1 1 |
| 39.77 | 31 | 2 2 0 |
| 42.10 | 15 | 2 1 2 |
| 53.32 | 34 | 3 1 2 |
| 60.75 | 10 | 1 1 4 |
| 64.48 | 12 | 2 0 4 |
| 66.74 | 10 | 4 1 2 |

Cell and atoms:
```
data_Pa4MnSi
_cell_length_a 6.4107
_cell_length_b 6.4107
_cell_length_c 6.4756
_cell_angle_alpha 90.00
_cell_angle_beta 90.00
_cell_angle_gamma 90.00
_space_group_name_H-M_alt 'P -4 2 c'
_space_group_IT_number 112
loop_
_space_group_symop_operation_xyz
'x,y,z'
'y,-x,-z'
'-x,-y,z'
'-y,x,-z'
'x,-y,-z+1/2'
'y,x,z+1/2'
'-x,y,-z+1/2'
'-y,-x,z+1/2'
loop_
_atom_site_label
_atom_site_type_symbol
_atom_site_fract_x
_atom_site_fract_y
_atom_site_fract_z
_atom_site_occupancy
Pa1 Pa 0.1946 0.2454 0.3464 1
Mn1 Mn 0.0000 0.5000 0.7500 1
Si1 Si 0.5000 0.5000 0.0000 1
```

[6]
For Al2Cu3Pd3, the GGA-PBE geometry in Alexandria gives the calculated powder diffraction line list in this record (Cu Kα, 1.54184 Å).

The 10 most intense peaks (2θ = 10–80°), in order of rising 2θ:
| Position (°2θ) | I (rel.) | index |
| --- | --- | --- |
| 22.78 | 5 | 1 0 0 |
| 25.21 | 11 | 0 0 2 |
| 32.13 | 12 | 1 1 0 |
| 41.27 | 100 | 1 1 2 |
| 45.62 | 19 | 0 2 0 |
| 46.53 | 18 | 2 0 0 |
| 51.75 | 13 | 0 0 4 |
| 67.21 | 11 | 2 2 0 |
| 71.42 | 9 | 0 2 4 |
| 72.11 | 9 | 2 0 4 |

Cell and atoms:
```
data_Al2Cu3Pd3
_cell_length_a 3.9035
_cell_length_b 3.9773
_cell_length_c 7.0665
_cell_angle_alpha 90.00
_cell_angle_beta 90.00
_cell_angle_gamma 90.00
_space_group_name_H-M_alt 'P m m m'
_space_group_IT_number 47
loop_
_space_group_symop_operation_xyz
'x,y,z'
'-x,-y,-z'
'-x,-y,z'
'x,y,-z'
'x,-y,-z'
'-x,y,z'
'-x,y,-z'
'x,-y,z'
loop_
_atom_site_label
_atom_site_type_symbol
_atom_site_fract_x
_atom_site_fract_y
_atom_site_fract_z
_atom_site_occupancy
Al1 Al 0.0000 0.0000 0.2486 1
Cu1 Cu 0.0000 0.5000 0.5000 1
Cu2 Cu 0.5000 0.5000 0.2563 1
Pd1 Pd 0.0000 0.5000 0.0000 1
Pd2 Pd 0.5000 0.0000 0.0000 1
Pd3 Pd 0.5000 0.0000 0.5000 1
```

[7]
For Er8ZnOs2, the GGA-PBE geometry in Alexandria gives the calculated powder diffraction line list in this record (Cu Kα, 1.54184 Å).

The 10 most intense peaks (2θ = 10–80°), in order of rising 2θ:
| Position (°2θ) | I (rel.) | index |
| --- | --- | --- |
| 30.35 | 53 | 2 0 1 |
| 30.49 | 57 | 1 3 1 |
| 32.74 | 100 | 0 4 1 |
| 33.13 | 81 | 3 1 -1 |
| 33.59 | 46 | 1 1 -2 |
| 35.35 | 73 | 2 4 0 |
| 36.75 | 58 | 0 2 2 |
| 38.60 | 60 | 3 3 0 |
| 39.47 | 41 | 1 5 -1 |
| 45.66 | 43 | 4 2 0 |

Cell and atoms:
```
data_Er8ZnOs2
_cell_length_a 8.6327
_cell_length_b 12.7789
_cell_length_c 5.4681
_cell_angle_alpha 90.00
_cell_angle_beta 104.40
_cell_angle_gamma 90.00
_space_group_name_H-M_alt 'C 1 m 1'
_space_group_IT_number 8
loop_
_space_group_symop_operation_xyz
'x,y,z'
'x,-y,z'
'x+1/2,y+1/2,z'
'x+1/2,-y+1/2,z'
loop_
_atom_site_label
_atom_site_type_symbol
_atom_site_fract_x
_atom_site_fract_y
_atom_site_fract_z
_atom_site_occupancy
Er1 Er 0.0000 0.0000 0.0000 1
Er2 Er 0.0749 0.3669 0.7842 1
Er3 Er 0.1795 0.1331 0.6103 1
Er4 Er 0.2540 0.5000 0.3940 1
Er5 Er 0.3773 0.2416 0.1971 1
Zn1 Zn 0.3767 0.0000 0.1942 1
Os1 Os 0.3771 0.3145 0.6970 1
```

[8]
For U2SnSb4, the GGA-PBE geometry in Alexandria gives the calculated powder diffraction line list in this record (Cu Kα, 1.54184 Å).

The 10 most intense peaks (2θ = 10–80°), in order of rising 2θ:
| Position (°2θ) | I (rel.) | index |
| --- | --- | --- |
| 22.23 | 16 | 1 0 1 |
| 26.37 | 18 | 1 0 2 |
| 32.69 | 19 | 0 0 4 |
| 33.75 | 100 | 1 1 2 |
| 39.00 | 19 | 1 0 4 |
| 42.08 | 31 | 2 0 0 |
| 54.29 | 18 | 2 0 4 |
| 54.61 | 11 | 1 0 6 |
| 58.72 | 11 | 2 1 4 |
| 71.59 | 23 | 3 1 2 |

Cell and atoms:
```
data_U2SnSb4
_cell_length_a 4.2943
_cell_length_b 4.2943
_cell_length_c 10.9565
_cell_angle_alpha 90.00
_cell_angle_beta 90.00
_cell_angle_gamma 90.00
_space_group_name_H-M_alt 'P -4 m 2'
_space_group_IT_number 115
loop_
_space_group_symop_operation_xyz
'x,y,z'
'y,-x,-z'
'-x,-y,z'
'-y,x,-z'
'-x,y,z'
'-y,-x,-z'
'x,-y,z'
'y,x,-z'
loop_
_atom_site_label
_atom_site_type_symbol
_atom_site_fract_x
_atom_site_fract_y
_atom_site_fract_z
_atom_site_occupancy
U1 U 0.0000 0.5000 0.2218 1
Sn1 Sn 0.0000 0.0000 0.5000 1
Sb1 Sb 0.0000 0.0000 0.0000 1
Sb2 Sb 0.0000 0.5000 0.7073 1
Sb3 Sb 0.5000 0.5000 0.0000 1
```

[9]
For TlCdIn2Hg7, the GGA-PBE geometry in Alexandria gives the calculated powder diffraction line list in this record (Cu Kα, 1.54184 Å).

The 10 most intense peaks (2θ = 10–80°), in order of rising 2θ:
| Position (°2θ) | I (rel.) | index |
| --- | --- | --- |
| 14.32 | 40 | 0 0 3 |
| 20.55 | 30 | 1 0 0 |
| 29.62 | 53 | 1 1 1 |
| 30.80 | 37 | 1 1 2 |
| 32.69 | 53 | 1 1 3 |
| 33.82 | 33 | 0 0 7 |
| 35.17 | 100 | 1 1 4 |
| 35.70 | 30 | 1 0 6 |
| 41.80 | 70 | 2 0 0 |
| 54.81 | 33 | 2 0 7 |

Cell and atoms:
```
data_TlCdIn2Hg7
_cell_length_a 4.3220
_cell_length_b 4.3220
_cell_length_c 18.5516
_cell_angle_alpha 90.00
_cell_angle_beta 90.00
_cell_angle_gamma 90.00
_space_group_name_H-M_alt 'P 4/m m m'
_space_group_IT_number 123
_space_group_name_Hall '-P 4 2'
loop_
_atom_site_label
_atom_site_type_symbol
_atom_site_fract_x
_atom_site_fract_y
_atom_site_fract_z
_atom_site_occupancy
Tl1 Tl 0.0000 0.0000 0.0000 1
Cd1 Cd 0.0000 0.0000 0.5000 1
In1 In 0.5000 0.5000 0.2379 1
Hg1 Hg 0.0000 0.5000 0.3584 1
Hg2 Hg 0.5000 0.5000 0.0802 1
Hg3 Hg 0.5000 0.5000 0.5000 1
```

[10]
For HfZrFe10, the GGA-PBE geometry in Alexandria gives the calculated powder diffraction line list in this record (Cu Kα, 1.54184 Å).

The 10 most intense peaks (2θ = 10–80°), in order of rising 2θ:
| Position (°2θ) | I (rel.) | index |
| --- | --- | --- |
| 31.09 | 49 | 1 0 2 |
| 37.18 | 10 | 0 2 0 |
| 37.29 | 21 | 0 1 3 |
| 43.25 | 23 | 0 2 2 |
| 43.38 | 11 | 0 0 4 |
| 43.92 | 100 | 1 2 0 |
| 45.77 | 28 | 2 0 0 |
| 60.43 | 15 | 2 2 0 |
| 64.82 | 20 | 2 2 2 |
| 71.74 | 14 | 1 3 3 |

Cell and atoms:
```
data_HfZrFe10
_cell_length_a 3.9647
_cell_length_b 4.8361
_cell_length_c 8.3443
_cell_angle_alpha 90.00
_cell_angle_beta 90.00
_cell_angle_gamma 90.00
_space_group_name_H-M_alt 'P m m m'
_space_group_IT_number 47
loop_
_space_group_symop_operation_xyz
'x,y,z'
'-x,-y,-z'
'-x,-y,z'
'x,y,-z'
'x,-y,-z'
'-x,y,z'
'-x,y,-z'
'x,-y,z'
loop_
_atom_site_label
_atom_site_type_symbol
_atom_site_fract_x
_atom_site_fract_y
_atom_site_fract_z
_atom_site_occupancy
Hf1 Hf 0.0000 0.0000 0.0000 1
Zr1 Zr 0.0000 0.5000 0.5000 1
Fe1 Fe 0.0000 0.0000 0.3323 1
Fe2 Fe 0.0000 0.5000 0.1653 1
Fe3 Fe 0.5000 0.0000 0.5000 1
Fe4 Fe 0.5000 0.2490 0.2484 1
Fe5 Fe 0.5000 0.5000 0.0000 1
```

[11]
For KCuTcO4, the GGA-PBE geometry in Alexandria gives the calculated powder diffraction line list in this record (Cu Kα, 1.54184 Å).

The 10 most intense peaks (2θ = 10–80°), in order of rising 2θ:
| Position (°2θ) | I (rel.) | index |
| --- | --- | --- |
| 17.83 | 82 | 1 1 1 |
| 20.62 | 16 | 2 0 0 |
| 29.32 | 100 | 2 2 0 |
| 34.53 | 10 | 3 1 1 |
| 41.95 | 9 | 4 0 0 |
| 45.92 | 19 | 3 3 1 |
| 52.00 | 37 | 4 2 2 |
| 60.82 | 18 | 4 4 0 |
| 63.93 | 13 | 5 3 1 |
| 68.94 | 15 | 6 2 0 |

Cell and atoms:
```
data_KCuTcO4
_cell_length_a 8.6151
_cell_length_b 8.6151
_cell_length_c 8.6151
_cell_angle_alpha 90.00
_cell_angle_beta 90.00
_cell_angle_gamma 90.00
_space_group_name_H-M_alt 'F -4 3 m'
_space_group_IT_number 216
_space_group_name_Hall 'F -4 2 3'
loop_
_atom_site_label
_atom_site_type_symbol
_atom_site_fract_x
_atom_site_fract_y
_atom_site_fract_z
_atom_site_occupancy
K1 K 0.0000 0.0000 0.0000 1
Cu1 Cu 0.2500 0.2500 0.7500 1
Tc1 Tc 0.0000 0.0000 0.5000 1
O1 O 0.1209 0.1209 0.6209 1
```

[12]
For Ac2Ge6Os, the GGA-PBE geometry in Alexandria gives the calculated powder diffraction line list in this record (Cu Kα, 1.54184 Å).

The 10 most intense peaks (2θ = 10–80°), in order of rising 2θ:
| Position (°2θ) | I (rel.) | index |
| --- | --- | --- |
| 23.13 | 87 | 3 1 0 |
| 24.59 | 100 | 1 1 1 |
| 28.48 | 26 | 3 1 -1 |
| 33.38 | 73 | 2 2 -1 |
| 38.02 | 25 | 5 1 -1 |
| 39.45 | 44 | 6 0 0 |
| 42.98 | 60 | 2 0 2 |
| 43.21 | 43 | 4 2 1 |
| 54.87 | 13 | 7 1 1 |
| 56.69 | 14 | 1 3 2 |

Cell and atoms:
```
data_Ac2Ge6Os
_cell_length_a 13.8344
_cell_length_b 7.1147
_cell_length_c 4.6576
_cell_angle_alpha 90.00
_cell_angle_beta 97.72
_cell_angle_gamma 90.00
_space_group_name_H-M_alt 'C 1 2/m 1'
_space_group_IT_number 12
loop_
_space_group_symop_operation_xyz
'x,y,z'
'-x,-y,-z'
'-x,y,-z'
'x,-y,z'
'x+1/2,y+1/2,z'
'-x+1/2,-y+1/2,-z'
'-x+1/2,y+1/2,-z'
'x+1/2,-y+1/2,z'
loop_
_atom_site_label
_atom_site_type_symbol
_atom_site_fract_x
_atom_site_fract_y
_atom_site_fract_z
_atom_site_occupancy
Ac1 Ac 0.1594 0.0000 0.4120 1
Ge1 Ge 0.0000 0.3176 0.5000 1
Ge2 Ge 0.1584 0.3228 0.8925 1
Os1 Os 0.0000 0.5000 0.0000 1
```

[13]
For CsTb2Te3, the GGA-PBE geometry in Alexandria gives the calculated powder diffraction line list in this record (Cu Kα, 1.54184 Å).

The 10 most intense peaks (2θ = 10–80°), in order of rising 2θ:
| Position (°2θ) | I (rel.) | index |
| --- | --- | --- |
| 10.13 | 100 | 0 2 0 |
| 24.91 | 87 | 1 3 1 |
| 25.49 | 26 | 0 4 2 |
| 28.27 | 80 | 1 3 2 |
| 30.65 | 47 | 0 0 4 |
| 35.08 | 80 | 1 5 2 |
| 36.58 | 40 | 2 0 0 |
| 45.79 | 32 | 1 3 5 |
| 47.07 | 19 | 1 7 3 |
| 48.45 | 27 | 2 0 4 |

Cell and atoms:
```
data_CsTb2Te3
_cell_length_a 4.9132
_cell_length_b 17.4615
_cell_length_c 11.6663
_cell_angle_alpha 90.00
_cell_angle_beta 90.00
_cell_angle_gamma 90.00
_space_group_name_H-M_alt 'C m c m'
_space_group_IT_number 63
_space_group_name_Hall '-C 2c 2'
loop_
_atom_site_label
_atom_site_type_symbol
_atom_site_fract_x
_atom_site_fract_y
_atom_site_fract_z
_atom_site_occupancy
Cs1 Cs 0.0000 0.2480 0.2500 1
Tb1 Tb 0.0000 0.0000 0.0000 1
Tb2 Tb 0.0000 0.4794 0.7500 1
Te1 Te 0.0000 0.0728 0.7500 1
Te2 Te 0.0000 0.3840 0.5412 1
```